This entry pairs a crystal structure of Li9Co7O16 with its theoretical X-ray diffraction stick pattern. Radiation: Cu Kα, 1.54184 Å. Structure: a crystal structure in Alexandria, relaxed with GGA+U.

Cell and atoms:
abc: 7.722 7.722 5.134
angles: 103.21 103.21 97.19
Positions (direct):
Li 0.000 0.000 0.000
Li 0.000 0.500 0.500
Li 0.124 0.876 0.500
Li 0.241 0.241 0.496
Li 0.375 0.625 0.500
Li 0.500 0.000 0.500
Li 0.625 0.375 0.500
Li 0.759 0.759 0.504
Li 0.876 0.124 0.500
Co 0.125 0.372 0.004
Co 0.244 0.756 0.000
Co 0.372 0.125 0.004
Co 0.500 0.500 0.000
Co 0.628 0.875 0.996
Co 0.756 0.244 0.000
Co 0.875 0.628 0.996
O 0.007 0.742 0.764
O 0.124 0.616 0.230
O 0.140 0.140 0.775
O 0.258 0.993 0.236
O 0.268 0.505 0.784
O 0.383 0.383 0.224
O 0.384 0.876 0.770
O 0.495 0.732 0.216
O 0.505 0.268 0.784
O 0.616 0.124 0.230
O 0.617 0.617 0.776
O 0.732 0.495 0.216
O 0.742 0.007 0.764
O 0.860 0.860 0.225
O 0.876 0.384 0.770
O 0.993 0.258 0.236

Top 6 peaks for 2θ = 10–90°, in order of rising 2θ:
2θ 18.4, rel. 100
2θ 36.2, rel. 27
2θ 43.1, rel. 28
2θ 44.0, rel. 52
2θ 63.1, rel. 15
2θ 63.4, rel. 15